# 1
For LaHoCu2As4, the GGA-PBE geometry in OQMD gives the calculated powder XRD pattern in this record (Cu Kα (λ = 1.5418 Å)).
Lines closer than 0.1° are merged.

Atomic structure:
abc: 3.9640 3.9640 10.0853
angles: 90.00 90.00 90.00
Positions (direct):
La: 0.0000 0.0000 0.0000
Ho: 0.5000 0.5000 0.5239
Cu: 0.0000 0.5000 0.2719
Cu: 0.5000 0.0000 0.2719
As: 0.0000 0.0000 0.4265
As: 0.0000 0.5000 0.7524
As: 0.5000 0.0000 0.7524
As: 0.5000 0.5000 0.1198

The 6 most intense peaks (2θ from 10° to 80°), sorted by position:
2θ = 24.1°, intensity 21.0
2θ = 35.0°, intensity 30.1
2θ = 36.7°, intensity 100.0
2θ = 45.8°, intensity 36.1
2θ = 50.8°, intensity 17.5
2θ = 78.6°, intensity 20.9

# 2
For PrDyMg2Sn2, the GGA-PBE geometry in OQMD gives the calculated powder XRD pattern in this record (Cu Kα (λ = 1.5418 Å)).
Lines closer than 0.1° are merged.

Atomic structure:
abc: 8.6433 8.6433 8.6433
angles: 150.05 150.05 42.88
Positions (direct):
Pr: 0.0000 0.0000 0.0000
Dy: 0.3318 0.3318 0.0000
Mg: 0.1677 0.6677 0.5000
Mg: 0.6677 0.1677 0.5000
Sn: 0.5323 0.5323 0.0000
Sn: 0.8006 0.8006 0.0000

The 6 most intense peaks (2θ from 10° to 80°), sorted by position:
2θ = 22.1°, intensity 43.4
2θ = 28.2°, intensity 100.0
2θ = 30.4°, intensity 35.8
2θ = 36.2°, intensity 85.5
2θ = 40.4°, intensity 56.8
2θ = 70.7°, intensity 41.2

# 3
For TaSiP4, the GGA-PBE geometry in OQMD gives the calculated powder XRD pattern in this record (Cu Kα (λ = 1.5418 Å)).
Lines closer than 0.1° are merged.

Atomic structure:
abc: 5.8193 5.8193 3.3961
angles: 90.00 90.00 91.95
Positions (direct):
Ta: 0.0000 0.0000 0.0000
Si: 0.5000 0.5000 0.5000
P: 0.2154 0.7846 0.5000
P: 0.3051 0.3051 0.0000
P: 0.6949 0.6949 0.0000
P: 0.7846 0.2154 0.5000

The 6 most intense peaks (2θ from 10° to 80°), sorted by position:
2θ = 15.2°, intensity 100.0
2θ = 21.2°, intensity 57.3
2θ = 22.0°, intensity 57.3
2θ = 30.5°, intensity 60.4
2θ = 34.0°, intensity 60.6
2θ = 44.2°, intensity 44.1

# 4
For LiSiTeAuSe2, the GGA-PBE geometry in OQMD gives the calculated powder XRD pattern in this record (Cu Kα (λ = 1.5418 Å)).
Lines closer than 0.1° are merged.

Atomic structure:
abc: 7.3105 7.3105 10.8347
angles: 90.00 90.00 152.42
Positions (direct):
Li: 0.2163 0.7837 0.7500
Li: 0.7837 0.2163 0.2500
Si: 0.5000 0.5000 0.0000
Si: 0.5000 0.5000 0.5000
Te: 0.4448 0.5552 0.2500
Te: 0.5552 0.4448 0.7500
Au: 0.1377 0.8623 0.2500
Au: 0.8623 0.1377 0.7500
Se: 0.1279 0.8721 0.0224
Se: 0.1279 0.8721 0.4776
Se: 0.8721 0.1279 0.5224
Se: 0.8721 0.1279 0.9776

The 6 most intense peaks (2θ from 10° to 80°), sorted by position:
2θ = 14.9°, intensity 52.0
2θ = 25.1°, intensity 38.0
2θ = 27.6°, intensity 60.0
2θ = 31.9°, intensity 71.5
2θ = 33.0°, intensity 100.0
2θ = 46.6°, intensity 45.0

# 5
For LaPrSiCl2, the GGA-PBE geometry in OQMD gives the calculated powder XRD pattern in this record (Cu Kα (λ = 1.5418 Å)).
Lines closer than 0.1° are merged.

Atomic structure:
abc: 4.3125 4.3125 9.8744
angles: 90.00 90.00 120.00
Positions (direct):
La: 0.0000 0.0000 0.0000
Pr: 0.6667 0.3333 0.3460
Si: 0.3333 0.6667 0.1739
Cl: 0.0000 0.0000 0.5030
Cl: 0.6667 0.3333 0.8418

The 6 most intense peaks (2θ from 10° to 80°), sorted by position:
2θ = 23.8°, intensity 24.3
2θ = 25.5°, intensity 46.9
2θ = 30.0°, intensity 100.0
2θ = 41.9°, intensity 35.4
2θ = 44.0°, intensity 37.6
2θ = 52.4°, intensity 25.2

# 6
For Dy2Sc2Br4NCl, the GGA-PBE geometry in OQMD gives the calculated powder XRD pattern in this record (Cu Kα (λ = 1.5418 Å)).
Lines closer than 0.1° are merged.

Atomic structure:
abc: 9.0994 9.0994 7.7226
angles: 102.12 102.12 22.95
Positions (direct):
Dy: 0.9995 0.9995 0.2080
Dy: 0.0005 0.0005 0.7920
Sc: 0.3748 0.3748 0.9365
Sc: 0.6252 0.6252 0.0635
Br: 0.1628 0.1628 0.3306
Br: 0.1655 0.1655 0.8338
Br: 0.8345 0.8345 0.1662
Br: 0.8372 0.8372 0.6694
N: 0.5000 0.5000 0.0000
Cl: 0.5000 0.5000 0.5000

The 6 most intense peaks (2θ from 10° to 80°), sorted by position:
2θ = 10.2°, intensity 71.1
2θ = 23.6°, intensity 49.3
2θ = 25.1°, intensity 54.2
2θ = 30.8°, intensity 57.0
2θ = 33.9°, intensity 100.0
2θ = 46.5°, intensity 62.4

# 7
For HgIrF5, the GGA-PBE geometry in OQMD gives the calculated powder XRD pattern in this record (Cu Kα (λ = 1.5418 Å)).
Lines closer than 0.1° are merged.

Atomic structure:
abc: 5.6076 5.6076 5.6076
angles: 138.57 109.95 84.78
Positions (direct):
Hg: 0.0000 0.0000 0.0000
Ir: 0.5000 0.5000 0.0000
F: 0.1922 0.5000 0.6922
F: 0.2607 0.2607 0.0000
F: 0.5000 0.0000 0.5000
F: 0.7393 0.7393 0.0000
F: 0.8078 0.5000 0.3078

The 6 most intense peaks (2θ from 10° to 80°), sorted by position:
2θ = 21.5°, intensity 88.8
2θ = 26.4°, intensity 100.0
2θ = 27.7°, intensity 50.1
2θ = 34.3°, intensity 65.6
2θ = 35.3°, intensity 35.2
2θ = 51.8°, intensity 32.1